Diffraction record for Ce4OsAu. The X-ray diffraction stick pattern is theoretical, not measured: it uses a crystal structure in Alexandria, relaxed with GGA-PBE and Cu Kα X-rays.
Kinematic intensities with the Lorentz-polarization factor, no thermal factor.

The 6 most intense peaks (10° ≤ 2θ ≤ 90°), in order of falling intensity:
Position (°2θ)	I/Imax
31.37	100
38.67	43
34.31	43
44.59	23
32.98	17
42.42	16

Crystal structure
```
Ce4OsAu
1.0
2.032 -6.396 0.000
2.032 6.396 0.000
0.000 0.000 11.431
Ce Os Au
8 2 2
Cartesian
2.032 5.449 5.715
2.032 4.563 8.539
2.032 2.875 0.267
2.032 1.029 8.204
2.032 -1.029 2.489
2.032 -2.875 5.982
2.032 -4.563 2.824
2.032 -5.449 0.000
2.032 3.708 3.323
2.032 -3.708 9.038
2.032 1.265 5.070
2.032 -1.265 10.785
```

Diffraction record for Nd8Er3Tm2. The X-ray diffraction stick pattern is theoretical, not measured: it uses a crystal structure in Alexandria, relaxed with GGA-PBE and Cu Kα X-rays.
Kinematic intensities with the Lorentz-polarization factor, no thermal factor.

The 6 most intense peaks (10° ≤ 2θ ≤ 90°), in order of falling intensity:
Position (°2θ)	I/Imax
33.06	100
31.24	45
29.37	40
30.75	33
24.62	24
56.77	21

Crystal structure
```
Nd8Er3Tm2
1.0
7.743 0.000 0.000
0.000 5.726 0.000
-3.862 0.000 10.127
Nd Er Tm
8 3 2
Cartesian
-0.352 0.000 2.912
-1.928 2.863 8.584
-0.345 0.000 7.217
1.937 2.863 2.419
1.943 2.863 7.708
4.226 0.000 2.910
5.808 2.863 1.543
4.232 0.000 7.215
-0.276 2.863 5.065
1.940 0.000 5.064
4.157 2.863 5.062
1.940 0.000 0.216
1.941 0.000 9.911
```

Diffraction record for TbNd3Ru2. The X-ray diffraction stick pattern is theoretical, not measured: it uses a crystal structure in Alexandria, relaxed with GGA-PBE and Cu Kα X-rays.
Kinematic intensities with the Lorentz-polarization factor, no thermal factor.

The 6 most intense peaks (10° ≤ 2θ ≤ 90°), in order of falling intensity:
Position (°2θ)	I/Imax
32.65	100
26.26	49
41.28	40
41.76	27
54.02	17
16.66	17

Crystal structure
```
TbNd3Ru2
1.0
8.236 -2.163 0.000
8.236 2.163 0.000
-4.865 0.000 9.830
Tb Nd Ru
2 6 4
Cartesian
0.394 0.000 1.616
11.214 0.000 8.214
0.187 0.000 5.161
0.341 0.000 8.874
6.019 0.000 2.730
5.589 0.000 7.100
11.267 0.000 0.956
11.421 0.000 4.669
-2.550 0.000 9.029
2.739 0.000 6.502
8.869 0.000 3.328
14.159 0.000 0.801
```

Q: What is the formula in the third record?
A: TbNd3Ru2